[1]
Theoretical powder diffraction line list
Compound: Li9Mn7O16
Radiation: Cu Kα (λ = 1.5418 Å)
Structure: a GGA+U-relaxed structure

Cell and atoms:
```
data_Li9Mn7O16
_chemical_formula_sum 'Li9 Mn7 O16'
_cell_length_a 10.545
_cell_length_b 2.875
_cell_length_c 10.692
_cell_angle_alpha 90.00
_cell_angle_beta 113.30
_cell_angle_gamma 90.00
_symmetry_space_group_name_H-M 'P 1 2/m 1'
_symmetry_Int_Tables_number 10
loop_
_symmetry_equiv_pos_as_xyz
'x,y,z'
'-x,-y,-z'
'-x,y,-z'
'x,-y,z'
loop_
_atom_site_label
_atom_site_fract_x
_atom_site_fract_y
_atom_site_fract_z
Li1 0.000 0.000 0.000
Li2 0.241 0.000 0.245
Li3 0.243 0.500 0.002
Li4 0.247 0.000 0.753
Li5 0.254 0.500 0.496
Mn1 0.000 0.000 0.500
Mn2 0.006 0.500 0.240
Mn3 0.499 0.500 0.250
Mn4 0.500 0.000 0.000
Mn5 0.500 0.000 0.500
O1 0.105 0.500 0.623
O2 0.111 0.500 0.140
O3 0.113 0.000 0.862
O4 0.114 0.000 0.363
O5 0.380 0.000 0.140
O6 0.381 0.000 0.641
O7 0.383 0.500 0.890
O8 0.384 0.500 0.390
```

Largest 10 diffraction maxima, most intense first, 10 to 80 degrees two-theta:
h k l, 2theta, intensity
2 0 0, 18.32, 100.0
2 1 2, 44.22, 55.7
4 0 -4, 40.69, 35.0
0 1 2, 36.20, 24.5
2 0 -4, 33.78, 19.0
6 1 -2, 62.00, 16.5
2 1 -6, 61.28, 16.4
4 1 -2, 46.90, 10.1
4 1 2, 58.32, 9.4
0 2 0, 64.85, 7.9

***

[2]
Theoretical powder diffraction line list
Compound: LiV2O3F
Radiation: Cu Kα (λ = 1.5418 Å)
Structure: a GGA+U-relaxed structure

Cell and atoms:
```
data_LiV2O3F
_chemical_formula_sum 'Li4 V8 O12 F4'
_cell_length_a 10.227
_cell_length_b 4.950
_cell_length_c 5.929
_cell_angle_alpha 90.00
_cell_angle_beta 90.00
_cell_angle_gamma 90.00
_symmetry_space_group_name_H-M 'P n a 21'
_symmetry_Int_Tables_number 33
loop_
_symmetry_equiv_pos_as_xyz
'x,y,z'
'-x,-y,z+1/2'
'-x+1/2,y+1/2,z+1/2'
'x+1/2,-y+1/2,z'
loop_
_atom_site_label
_atom_site_fract_x
_atom_site_fract_y
_atom_site_fract_z
Li1 0.090 0.042 0.000
V1 0.015 0.484 0.256
V2 0.227 0.987 0.484
O1 0.074 0.747 0.498
O2 0.096 0.673 0.997
O3 0.173 0.246 0.241
F1 0.162 0.243 0.745
```

Largest 10 diffraction maxima, most intense first, 10 to 80 degrees two-theta:
h k l, 2theta, intensity
1 1 1, 25.00, 100.0
2 2 2, 51.32, 97.6
1 1 0, 19.93, 68.3
2 1 2, 39.60, 49.1
3 1 0, 31.87, 47.5
1 1 2, 36.40, 38.8
3 1 1, 35.37, 33.0
2 0 2, 34.99, 27.7
6 0 2, 62.89, 22.0
5 1 2, 57.85, 18.9

***

[3]
Theoretical powder diffraction line list
Compound: Fe3O4F2
Radiation: Cu Kα (λ = 1.5418 Å)
Structure: a GGA+U-relaxed structure

Cell and atoms:
```
data_Fe3O4F2
_chemical_formula_sum 'Fe6 O8 F4'
_cell_length_a 4.659
_cell_length_b 4.656
_cell_length_c 10.259
_cell_angle_alpha 90.00
_cell_angle_beta 116.49
_cell_angle_gamma 90.00
_symmetry_space_group_name_H-M 'P 1 21/c 1'
_symmetry_Int_Tables_number 14
loop_
_symmetry_equiv_pos_as_xyz
'x,y,z'
'-x,-y,-z'
'-x,y+1/2,-z+1/2'
'x,-y+1/2,z+1/2'
loop_
_atom_site_label
_atom_site_fract_x
_atom_site_fract_y
_atom_site_fract_z
Fe1 0.000 0.000 0.000
Fe2 0.310 0.021 0.342
O1 0.019 0.169 0.835
O2 0.301 0.702 0.003
F1 0.370 0.215 0.171
```

Largest 10 diffraction maxima, most intense first, 10 to 80 degrees two-theta:
h k l, 2theta, intensity
1 1 -1, 27.08, 100.0
0 1 3, 35.09, 27.7
1 2 -4, 53.35, 26.9
2 2 -2, 55.83, 16.1
2 1 1, 52.97, 15.4
1 2 2, 53.09, 15.1
0 3 3, 67.68, 15.0
1 0 2, 34.93, 14.8
1 0 -4, 35.23, 12.1
3 0 0, 67.34, 11.3

***

[4]
Theoretical powder diffraction line list
Compound: MgMn6O11F
Radiation: Cu Kα (λ = 1.5418 Å)
Structure: a GGA+U-relaxed structure

Cell and atoms:
```
data_MgMn6O11F
_chemical_formula_sum 'Mg1 Mn6 O11 F1'
_cell_length_a 5.690
_cell_length_b 5.847
_cell_length_c 7.491
_cell_angle_alpha 106.79
_cell_angle_beta 98.80
_cell_angle_gamma 113.09
_symmetry_space_group_name_H-M 'P 1'
_symmetry_Int_Tables_number 1
loop_
_symmetry_equiv_pos_as_xyz
'x,y,z'
loop_
_atom_site_label
_atom_site_fract_x
_atom_site_fract_y
_atom_site_fract_z
Mg1 0.000 0.000 0.000
Mn1 0.004 0.493 0.004
Mn2 0.328 0.518 0.341
Mn3 0.356 0.925 0.786
Mn4 0.634 0.058 0.210
Mn5 0.658 0.467 0.648
Mn6 0.994 0.999 0.504
O1 0.020 0.159 0.302
O2 0.077 0.643 0.281
O3 0.254 0.378 0.060
O4 0.271 0.847 0.019
O5 0.368 0.156 0.646
O6 0.421 0.629 0.617
O7 0.572 0.358 0.380
O8 0.619 0.849 0.367
O9 0.718 0.142 0.981
O10 0.909 0.349 0.723
O11 0.968 0.827 0.699
F1 0.736 0.633 0.954
```

Largest 10 diffraction maxima, most intense first, 10 to 80 degrees two-theta:
h k l, 2theta, intensity
-1 1 1, 23.50, 100.0
1 1 -1, 28.08, 73.4
2 -1 1, 36.05, 41.1
3 -2 0, 50.00, 25.9
0 2 0, 36.17, 23.9
0 1 -3, 36.54, 22.6
1 0 -4, 50.98, 18.2
2 -2 4, 64.37, 18.0
-1 1 2, 33.37, 17.6
1 -2 2, 35.75, 17.5

***

[5]
Theoretical powder diffraction line list
Compound: BaSrGdCrO6
Radiation: Cu Kα (λ = 1.5418 Å)
Structure: a GGA+U-relaxed structure

Cell and atoms:
```
data_BaSrGdCrO6
_chemical_formula_sum 'Ba4 Sr4 Gd4 Cr4 O24'
_cell_length_a 8.310
_cell_length_b 8.310
_cell_length_c 8.310
_cell_angle_alpha 90.00
_cell_angle_beta 90.00
_cell_angle_gamma 90.00
_symmetry_space_group_name_H-M 'F -4 3 m'
_symmetry_Int_Tables_number 216
_symmetry_space_group_name_Hall 'F -4 2 3'
loop_
_atom_site_label
_atom_site_fract_x
_atom_site_fract_y
_atom_site_fract_z
Ba1 0.000 0.000 0.000
Sr1 0.000 0.000 0.500
Gd1 0.250 0.250 0.250
Cr1 0.250 0.250 0.750
O1 0.020 0.250 0.750
```

Largest 10 diffraction maxima, most intense first, 10 to 80 degrees two-theta:
h k l, 2theta, intensity
2 2 0, 30.42, 100.0
4 2 2, 54.06, 39.0
4 0 0, 43.56, 31.5
4 4 0, 63.30, 19.0
6 2 0, 71.85, 17.7
1 1 1, 18.49, 12.8
3 1 1, 35.84, 10.5
4 4 4, 79.99, 6.2
3 3 1, 47.70, 6.1
3 3 3, 57.63, 3.2

***

[6]
Theoretical powder diffraction line list
Compound: Sr4FeRuO8
Radiation: Cu Kα (λ = 1.5418 Å)
Structure: a GGA+U-relaxed structure

Cell and atoms:
```
data_Sr4FeRuO8
_chemical_formula_sum 'Sr8 Fe2 Ru2 O16'
_cell_length_a 5.598
_cell_length_b 12.679
_cell_length_c 5.598
_cell_angle_alpha 90.00
_cell_angle_beta 90.00
_cell_angle_gamma 90.00
_symmetry_space_group_name_H-M 'C m m m'
_symmetry_Int_Tables_number 65
_symmetry_space_group_name_Hall '-C 2 2'
loop_
_atom_site_label
_atom_site_fract_x
_atom_site_fract_y
_atom_site_fract_z
Sr1 0.000 0.145 0.000
Sr2 0.000 0.354 0.500
Fe1 0.000 0.000 0.500
Ru1 0.000 0.500 0.000
O1 0.000 0.161 0.500
O2 0.000 0.340 0.000
O3 0.248 0.500 0.247
```

Largest 10 diffraction maxima, most intense first, 10 to 80 degrees two-theta:
h k l, 2theta, intensity
1 3 1, 30.95, 100.0
2 0 0, 31.98, 69.6
2 0 2, 45.85, 38.4
3 3 1, 56.35, 37.4
2 6 0, 54.40, 18.2
2 6 2, 64.51, 17.0
0 6 0, 42.79, 16.1
2 4 0, 43.12, 14.0
0 2 0, 13.97, 13.7
1 5 1, 42.33, 13.3

***

[7]
Theoretical powder diffraction line list
Compound: LiCoPO4
Radiation: Cu Kα (λ = 1.5418 Å)
Structure: a GGA+U-relaxed structure

Cell and atoms:
```
data_LiCoPO4
_chemical_formula_sum 'Li6 Co6 P6 O24'
_cell_length_a 8.4781
_cell_length_b 8.4781
_cell_length_c 7.4866
_cell_angle_alpha 90.00
_cell_angle_beta 90.00
_cell_angle_gamma 120.00
_symmetry_space_group_name_H-M 'P 63'
_symmetry_Int_Tables_number 173
loop_
_symmetry_equiv_pos_as_xyz
'x,y,z'
'x-y,x,z+1/2'
'-y,x-y,z'
'-x,-y,z+1/2'
'-x+y,-x,z'
'y,-x+y,z+1/2'
loop_
_atom_site_label
_atom_site_fract_x
_atom_site_fract_y
_atom_site_fract_z
Li1 0.0131 0.6822 0.0000
Co1 0.0000 0.0000 0.2321
Co2 0.3333 0.6667 0.2922
Co3 0.3333 0.6667 0.8896
P1 0.0365 0.6759 0.5982
O1 0.0700 0.2162 0.0962
O2 0.1056 0.5279 0.0889
O3 0.1439 0.7221 0.7753
O4 0.1730 0.7431 0.4411
```

Largest 10 diffraction maxima, most intense first, 10 to 80 degrees two-theta:
h k l, 2theta, intensity
1 1 2, 31.89, 100.0
1 1 1, 24.13, 87.5
1 1 0, 20.96, 68.6
3 0 0, 36.72, 53.8
1 0 2, 26.73, 40.8
2 0 2, 34.21, 29.6
2 2 2, 49.41, 28.9
3 3 0, 66.14, 25.8
4 1 2, 63.12, 24.6
1 4 0, 57.52, 24.5

***

Repeat the second record exactly.
Theoretical powder diffraction line list
Compound: LiV2O3F
Radiation: Cu Kα (λ = 1.5418 Å)
Structure: a GGA+U-relaxed structure

Cell and atoms:
```
data_LiV2O3F
_chemical_formula_sum 'Li4 V8 O12 F4'
_cell_length_a 10.227
_cell_length_b 4.950
_cell_length_c 5.929
_cell_angle_alpha 90.00
_cell_angle_beta 90.00
_cell_angle_gamma 90.00
_symmetry_space_group_name_H-M 'P n a 21'
_symmetry_Int_Tables_number 33
loop_
_symmetry_equiv_pos_as_xyz
'x,y,z'
'-x,-y,z+1/2'
'-x+1/2,y+1/2,z+1/2'
'x+1/2,-y+1/2,z'
loop_
_atom_site_label
_atom_site_fract_x
_atom_site_fract_y
_atom_site_fract_z
Li1 0.090 0.042 0.000
V1 0.015 0.484 0.256
V2 0.227 0.987 0.484
O1 0.074 0.747 0.498
O2 0.096 0.673 0.997
O3 0.173 0.246 0.241
F1 0.162 0.243 0.745
```

Largest 10 diffraction maxima, most intense first, 10 to 80 degrees two-theta:
h k l, 2theta, intensity
1 1 1, 25.00, 100.0
2 2 2, 51.32, 97.6
1 1 0, 19.93, 68.3
2 1 2, 39.60, 49.1
3 1 0, 31.87, 47.5
1 1 2, 36.40, 38.8
3 1 1, 35.37, 33.0
2 0 2, 34.99, 27.7
6 0 2, 62.89, 22.0
5 1 2, 57.85, 18.9

***

Please write out number 3 again, unchanged.
Theoretical powder diffraction line list
Compound: Fe3O4F2
Radiation: Cu Kα (λ = 1.5418 Å)
Structure: a GGA+U-relaxed structure

Cell and atoms:
```
data_Fe3O4F2
_chemical_formula_sum 'Fe6 O8 F4'
_cell_length_a 4.659
_cell_length_b 4.656
_cell_length_c 10.259
_cell_angle_alpha 90.00
_cell_angle_beta 116.49
_cell_angle_gamma 90.00
_symmetry_space_group_name_H-M 'P 1 21/c 1'
_symmetry_Int_Tables_number 14
loop_
_symmetry_equiv_pos_as_xyz
'x,y,z'
'-x,-y,-z'
'-x,y+1/2,-z+1/2'
'x,-y+1/2,z+1/2'
loop_
_atom_site_label
_atom_site_fract_x
_atom_site_fract_y
_atom_site_fract_z
Fe1 0.000 0.000 0.000
Fe2 0.310 0.021 0.342
O1 0.019 0.169 0.835
O2 0.301 0.702 0.003
F1 0.370 0.215 0.171
```

Largest 10 diffraction maxima, most intense first, 10 to 80 degrees two-theta:
h k l, 2theta, intensity
1 1 -1, 27.08, 100.0
0 1 3, 35.09, 27.7
1 2 -4, 53.35, 26.9
2 2 -2, 55.83, 16.1
2 1 1, 52.97, 15.4
1 2 2, 53.09, 15.1
0 3 3, 67.68, 15.0
1 0 2, 34.93, 14.8
1 0 -4, 35.23, 12.1
3 0 0, 67.34, 11.3